1.
Computed powder diffraction line list
Compound: Sr3Cd3RhO8
Radiation: CuKα
Structure: a DFT-relaxed cell (GGA-PBE, Alexandria)
Lines closer than 0.1° are merged.

Cell and atoms:
```
15
Lattice="3.468 2.002 5.621 -3.468 2.002 5.621 0.000 -4.005 5.621" Properties=species:S:1:pos:R:3 pbc="T T T"
Sr -1.734 -1.001 5.621
Sr -1.734 1.001 11.241
Sr 0.000 2.002 5.621
Cd -3.468 0.000 8.431
Cd -1.734 1.001 2.810
Cd 1.734 1.001 2.810
Rh 0.000 0.000 8.431
O 0.000 0.000 4.135
O -1.502 -0.867 9.567
O 0.000 -1.735 7.294
O -1.502 0.867 7.294
O 1.502 -0.867 9.567
O 0.000 1.735 9.567
O 1.502 0.867 7.294
O 0.000 0.000 12.727
```

Most intense lines, 10 to 90 degrees two-theta, by intensity:
36.74 deg, rel. 1000; 31.62 deg, rel. 752; 52.79 deg, rel. 325; 53.08 deg, rel. 309; 31.84 deg, rel. 254; 62.99 deg, rel. 233

---

2.
Computed powder diffraction line list
Compound: CaLaTe
Radiation: CuKα
Structure: a DFT-relaxed cell (GGA-PBE, Alexandria)
Lines closer than 0.1° are merged.

Cell and atoms:
```
12
Lattice="4.553 -6.232 0.000 4.553 6.232 0.000 0.000 0.000 8.198" Properties=species:S:1:pos:R:3 pbc="T T T"
Ca 4.553 3.832 6.764
Ca 4.553 2.399 2.666
Ca 4.553 -2.399 5.532
Ca 4.553 -3.832 1.433
La 1.871 0.000 4.099
La 2.682 0.000 0.000
La 6.424 0.000 0.000
La 7.235 0.000 4.099
Te 4.553 5.330 1.634
Te 4.553 0.901 5.733
Te 4.553 -0.901 2.465
Te 4.553 -5.330 6.564
```

Most intense lines, 10 to 90 degrees two-theta, by intensity:
14.21 deg, rel. 1000; 29.32 deg, rel. 643; 32.25 deg, rel. 490; 32.72 deg, rel. 417; 35.03 deg, rel. 284; 36.63 deg, rel. 280

---

3.
Computed powder diffraction line list
Compound: Li3BiS3
Radiation: CuKα
Structure: a DFT-relaxed cell (GGA-PBE, Alexandria)
Lines closer than 0.1° are merged.

Cell and atoms:
```
28
Lattice="7.766 0.000 0.000 0.000 6.876 0.000 0.000 0.000 10.421" Properties=species:S:1:pos:R:3 pbc="T T T"
Li 0.465 0.286 0.000
Li 0.815 2.299 4.588
Li 1.904 2.530 1.475
Li 1.979 5.968 6.686
Li 3.068 5.737 9.799
Li 3.418 3.724 5.211
Li 4.349 3.152 0.000
Li 4.698 1.139 4.588
Li 5.787 0.908 1.475
Li 5.862 4.346 6.686
Li 6.952 4.577 9.799
Li 7.301 6.590 5.211
Bi 1.660 2.657 7.951
Bi 2.223 6.095 2.741
Bi 5.544 0.781 7.951
Bi 6.106 4.219 2.741
S 0.310 0.990 2.617
S 1.167 4.724 4.654
S 1.290 4.764 0.721
S 2.593 1.326 5.931
S 2.716 1.286 9.865
S 3.573 4.428 7.828
S 4.193 2.448 2.617
S 5.051 5.590 4.654
S 5.173 5.550 0.721
S 6.476 2.112 5.931
S 6.599 2.152 9.865
S 7.456 5.886 7.828
```

Most intense lines, 10 to 90 degrees two-theta, by intensity:
19.23 deg, rel. 1000; 15.44 deg, rel. 618; 33.28 deg, rel. 595; 17.02 deg, rel. 508; 31.06 deg, rel. 487; 27.74 deg, rel. 462

---

4.
Computed powder diffraction line list
Compound: Sr6Pd2SBr3
Radiation: CuKα
Structure: a DFT-relaxed cell (GGA-PBE, Alexandria)
Lines closer than 0.1° are merged.

Cell and atoms:
```
12
Lattice="3.827 -6.635 0.000 3.827 6.635 0.000 -2.544 0.000 7.792" Properties=species:S:1:pos:R:3 pbc="T T T"
Sr 0.012 2.207 6.152
Sr 1.276 0.000 1.633
Sr 0.012 -2.207 6.152
Sr 5.098 2.207 1.640
Sr 3.834 0.000 6.159
Sr 5.098 -2.207 1.640
Pd 3.827 4.413 0.000
Pd 3.827 -4.413 0.000
S 3.827 0.000 0.000
Br -1.272 0.000 3.896
Br 2.555 2.114 3.896
Br 2.555 -2.114 3.896
```

Most intense lines, 10 to 90 degrees two-theta, by intensity:
27.86 deg, rel. 1000; 40.82 deg, rel. 374; 38.77 deg, rel. 340; 50.14 deg, rel. 191; 66.57 deg, rel. 159; 63.67 deg, rel. 113

---

Which formula does entry 4 have?
Sr6Pd2SBr3